Record 1
The following is a computed X-ray diffraction stick pattern of PuBrO. It was derived from a structure optimized by DFT (GGA-PBE), using Cu Kα.
Lines closer than 0.1° are merged.

Principal peaks in the range 10 to 90 degrees two-theta, in order of rising 2θ:
Position (°2θ), Rel. int., (hkl)
10.34, 54.7, 0 0 1
24.86, 21.3, 1 0 1
30.84, 100.0, 1 0 2
32.11, 44.9, 1 1 0
38.97, 8.6, 1 0 3
46.04, 20.6, 2 0 0
48.40, 8.0, 1 0 4
54.02, 16.9, 1 1 4
56.44, 37.1, 2 1 2
64.25, 8.2, 2 0 4
75.71, 8.0, 3 0 2
76.39, 8.0, 3 1 0

Atomic structure:
Cell lengths 3.943, 3.943, 8.559 Å; angles 90.00, 90.00, 90.00 degrees
Positions (direct):
1 Pu 0.250 0.250 0.140
2 Pu 0.750 0.750 0.860
3 Br 0.250 0.250 0.670
4 Br 0.750 0.750 0.330
5 O 0.250 0.750 0.000
6 O 0.750 0.250 0.000

---

Record 2
The following is a computed X-ray diffraction stick pattern of Rb2UBr4O4. It was derived from a structure optimized by DFT (GGA-PBE), using Cu Kα.
Lines closer than 0.1° are merged.

Principal peaks in the range 10 to 90 degrees two-theta, in order of rising 2θ:
Position (°2θ), Rel. int., (hkl)
11.32, 94.5, 0 0 1
14.10, 52.5, 1 0 0
15.28, 50.3, 1 1 0
16.06, 100.0, 0 1 1
16.52, 40.9, 1 1 1
25.45, 56.2, -1 1 1
25.57, 98.3, 1 2 1
25.72, 47.0, 2 1 0
26.57, 57.2, 1 0 2
30.05, 62.0, 0 1 -2
30.95, 54.9, 2 0 -1
33.89, 38.2, 1 1 3

Atomic structure:
Cell lengths 7.038, 7.059, 8.159 Å; angles 73.37, 81.39, 63.21 degrees
Positions (direct):
1 Rb 0.248 0.053 0.242
2 Rb 0.752 0.947 0.758
3 U 0.500 0.500 0.000
4 Br 0.091 0.656 0.150
5 Br 0.350 0.766 0.664
6 Br 0.650 0.234 0.336
7 Br 0.909 0.344 0.850
8 O 0.330 0.148 0.569
9 O 0.468 0.272 0.967
10 O 0.532 0.728 0.033
11 O 0.670 0.852 0.431